Record 1
This entry pairs a crystal structure of Dy11Y4Tm9 with its theoretical powder X-ray diffraction pattern. Radiation: a wavelength of 1.5418 Å. Structure: the GGA-PBE geometry in Alexandria.
Intensities are scaled so that the largest is 100.

Main lines, sorted by position (2θ = 10–90°):
d/Å, 2θ/deg, I (rel.)
2.885, 31.0, 100
2.553, 35.2, 19
2.473, 36.3, 30
1.776, 51.5, 20
1.752, 52.2, 7
1.745, 52.5, 6
1.530, 60.5, 12
1.497, 62.0, 15
1.493, 62.2, 11
1.445, 64.5, 6
1.440, 64.7, 6
1.134, 85.7, 6

Structural model:
Cell: 14.622 14.622 3.505 Å, 90.00 90.00 91.43°
Sites, in units of the cell vectors:
Dy (0.000, 0.000, 0.000)
Dy (0.077, 0.414, 0.000)
Dy (0.171, 0.829, 0.000)
Dy (0.239, 0.239, 0.000)
Dy (0.344, 0.656, 0.000)
Dy (0.414, 0.077, 0.000)
Dy (0.586, 0.923, 0.000)
Dy (0.656, 0.344, 0.000)
Dy (0.761, 0.761, 0.000)
Dy (0.829, 0.171, 0.000)
Dy (0.923, 0.586, 0.000)
Y (0.278, 0.447, 0.500)
Y (0.447, 0.278, 0.500)
Y (0.553, 0.722, 0.500)
Y (0.722, 0.553, 0.500)
Tm (0.035, 0.206, 0.500)
Tm (0.130, 0.623, 0.500)
Tm (0.206, 0.035, 0.500)
Tm (0.377, 0.870, 0.500)
Tm (0.500, 0.500, 0.500)
Tm (0.623, 0.130, 0.500)
Tm (0.794, 0.965, 0.500)
Tm (0.870, 0.377, 0.500)
Tm (0.965, 0.794, 0.500)


Record 2
This entry pairs a crystal structure of NaCe2Ru with its theoretical powder X-ray diffraction pattern. Radiation: a wavelength of 1.5418 Å. Structure: the GGA-PBE geometry in Alexandria.
Intensities are scaled so that the largest is 100.

Main lines, sorted by position (2θ = 10–90°):
d/Å, 2θ/deg, I (rel.)
3.388, 26.3, 22
3.330, 26.8, 32
3.124, 28.6, 24
2.992, 29.9, 100
2.569, 34.9, 100
2.304, 39.1, 30
1.966, 46.2, 87
1.933, 47.0, 35
1.695, 54.1, 25
1.562, 59.2, 21
1.223, 78.1, 19
1.136, 85.5, 21

Structural model:
Cell: 10.667 10.667 10.667 Å, 21.26 21.26 21.26°
Sites, in units of the cell vectors:
Na (0.000, 0.000, 0.000)
Ce (0.118, 0.118, 0.118)
Ce (0.882, 0.882, 0.882)
Ru (0.500, 0.500, 0.500)


Record 3
This entry pairs a crystal structure of KNp4Ag3Se12 with its theoretical powder X-ray diffraction pattern. Radiation: a wavelength of 1.5418 Å. Structure: the GGA-PBE geometry in Alexandria.
Intensities are scaled so that the largest is 100.

Main lines, sorted by position (2θ = 10–90°):
d/Å, 2θ/deg, I (rel.)
5.176, 17.1, 48
3.660, 24.3, 100
3.274, 27.2, 26
2.767, 32.4, 18
2.588, 34.7, 51
2.315, 38.9, 35
2.113, 42.8, 97
1.830, 49.8, 23
1.775, 51.5, 16
1.637, 56.2, 27
1.383, 67.7, 31
1.220, 78.4, 40

Structural model:
Cell: 8.965 8.965 8.965 Å, 109.47 109.47 109.47°
Sites, in units of the cell vectors:
K (0.000, 0.000, 0.000)
Np (0.000, 0.000, 0.500)
Np (0.000, 0.500, 0.000)
Np (0.500, 0.000, 0.000)
Np (0.500, 0.500, 0.500)
Ag (0.000, 0.500, 0.500)
Ag (0.500, 0.000, 0.500)
Ag (0.500, 0.500, 0.000)
Se (0.128, 0.822, 0.306)
Se (0.178, 0.306, 0.484)
Se (0.178, 0.694, 0.872)
Se (0.306, 0.128, 0.822)
Se (0.306, 0.484, 0.178)
Se (0.484, 0.178, 0.306)
Se (0.516, 0.822, 0.694)
Se (0.694, 0.516, 0.822)
Se (0.694, 0.872, 0.178)
Se (0.822, 0.306, 0.128)
Se (0.822, 0.694, 0.516)
Se (0.872, 0.178, 0.694)


Record 4
This entry pairs a crystal structure of Pm6Nd2Ho5 with its theoretical powder X-ray diffraction pattern. Radiation: a wavelength of 1.5418 Å. Structure: the GGA-PBE geometry in Alexandria.
Intensities are scaled so that the largest is 100.

Main lines, sorted by position (2θ = 10–90°):
d/Å, 2θ/deg, I (rel.)
2.965, 30.1, 20
2.921, 30.6, 54
2.876, 31.1, 48
2.839, 31.5, 98
2.820, 31.7, 100
2.650, 33.8, 39
2.579, 34.8, 25
2.488, 36.1, 27
1.819, 50.2, 23
1.707, 53.7, 22
1.640, 56.1, 26
1.531, 60.4, 31

Structural model:
Cell: 11.806 20.479 3.638 Å, 90.00 90.00 90.00°
Sites, in units of the cell vectors:
Pm (0.059, 0.078, 0.000)
Pm (0.080, 0.365, 0.000)
Pm (0.177, 0.628, 0.500)
Pm (0.323, 0.128, 0.500)
Pm (0.420, 0.865, 0.000)
Pm (0.441, 0.578, 0.000)
Pm (0.559, 0.422, 0.000)
Pm (0.580, 0.135, 0.000)
Pm (0.677, 0.872, 0.500)
Pm (0.823, 0.372, 0.500)
Pm (0.920, 0.635, 0.000)
Pm (0.941, 0.922, 0.000)
Nd (0.167, 0.785, 0.000)
Nd (0.333, 0.285, 0.000)
Nd (0.667, 0.715, 0.000)
Nd (0.833, 0.215, 0.000)
Ho (0.000, 0.500, 0.500)
Ho (0.094, 0.223, 0.500)
Ho (0.199, 0.945, 0.500)
Ho (0.301, 0.445, 0.500)
Ho (0.406, 0.723, 0.500)
Ho (0.500, 0.000, 0.500)
Ho (0.594, 0.277, 0.500)
Ho (0.699, 0.555, 0.500)
Ho (0.801, 0.055, 0.500)
Ho (0.906, 0.777, 0.500)


Record 5
This entry pairs a crystal structure of Ac2Mg3Zn6 with its theoretical powder X-ray diffraction pattern. Radiation: a wavelength of 1.5418 Å. Structure: the GGA-PBE geometry in Alexandria.
Intensities are scaled so that the largest is 100.

Main lines, sorted by position (2θ = 10–90°):
d/Å, 2θ/deg, I (rel.)
7.709, 11.5, 24
5.975, 14.8, 32
3.854, 23.1, 31
3.509, 25.4, 43
3.288, 27.1, 81
2.880, 31.0, 100
2.817, 31.8, 55
2.570, 34.9, 56
2.324, 38.7, 43
2.167, 41.7, 31
1.657, 55.5, 29
1.585, 58.2, 27

Structural model:
Cell: 7.820 7.820 4.335 Å, 90.00 90.00 99.66°
Sites, in units of the cell vectors:
Ac (0.214, 0.786, 0.000)
Ac (0.786, 0.214, 0.000)
Mg (0.291, 0.291, 0.000)
Mg (0.500, 0.500, 0.500)
Mg (0.709, 0.709, 0.000)
Zn (0.118, 0.118, 0.500)
Zn (0.134, 0.441, 0.500)
Zn (0.441, 0.134, 0.500)
Zn (0.559, 0.866, 0.500)
Zn (0.866, 0.559, 0.500)
Zn (0.882, 0.882, 0.500)


Record 6
This entry pairs a crystal structure of Cs5Sb3Pt3 with its theoretical powder X-ray diffraction pattern. Radiation: a wavelength of 1.5418 Å. Structure: the GGA-PBE geometry in Alexandria.
Intensities are scaled so that the largest is 100.

Main lines, sorted by position (2θ = 10–90°):
d/Å, 2θ/deg, I (rel.)
5.660, 15.7, 100
5.625, 15.8, 32
3.707, 24.0, 41
3.550, 25.1, 44
3.337, 26.7, 60
3.275, 27.2, 56
3.254, 27.4, 81
2.877, 31.1, 50
2.651, 33.8, 46
2.286, 39.4, 36
1.929, 47.1, 31
1.871, 48.7, 33

Structural model:
Cell: 4.572 11.249 11.319 Å, 60.22 89.99 89.97°
Sites, in units of the cell vectors:
Cs (0.000, 0.000, 0.000)
Cs (0.001, 0.063, 0.344)
Cs (0.002, 0.656, 0.688)
Cs (0.499, 0.583, 0.102)
Cs (0.501, 0.341, 0.586)
Sb (0.500, 0.304, 0.971)
Sb (0.500, 0.758, 0.344)
Sb (0.503, 0.931, 0.718)
Pt (0.000, 0.366, 0.021)
Pt (0.000, 0.659, 0.344)
Pt (0.003, 0.044, 0.667)


Record 7
This entry pairs a crystal structure of TaTl2P2N6 with its theoretical powder X-ray diffraction pattern. Radiation: a wavelength of 1.5418 Å. Structure: the GGA-PBE geometry in Alexandria.
Intensities are scaled so that the largest is 100.

Main lines, sorted by position (2θ = 10–90°):
d/Å, 2θ/deg, I (rel.)
4.729, 18.8, 38
3.436, 25.9, 23
3.033, 29.4, 100
2.816, 31.8, 72
2.178, 41.5, 13
2.064, 43.9, 28
1.800, 50.7, 20
1.710, 53.6, 13
1.664, 55.2, 33
1.626, 56.6, 14
1.335, 70.5, 15
1.277, 74.3, 14

Structural model:
Cell: 7.228 7.228 7.228 Å, 45.86 45.86 45.86°
Sites, in units of the cell vectors:
Ta (0.000, 0.000, 0.000)
Tl (0.206, 0.206, 0.206)
Tl (0.794, 0.794, 0.794)
P (0.394, 0.394, 0.394)
P (0.606, 0.606, 0.606)
N (0.236, 0.236, 0.719)
N (0.236, 0.719, 0.236)
N (0.281, 0.764, 0.764)
N (0.719, 0.236, 0.236)
N (0.764, 0.281, 0.764)
N (0.764, 0.764, 0.281)


Record 8
This entry pairs a crystal structure of LiCr2PdN with its theoretical powder X-ray diffraction pattern. Radiation: a wavelength of 1.5418 Å. Structure: the GGA-PBE geometry in Alexandria.
Intensities are scaled so that the largest is 100.

Main lines, sorted by position (2θ = 10–90°):
d/Å, 2θ/deg, I (rel.)
3.835, 23.2, 39
2.766, 32.4, 58
2.244, 40.2, 100
1.997, 45.4, 22
1.917, 47.4, 38
1.771, 51.6, 9
1.576, 58.6, 20
1.383, 67.7, 24
1.356, 69.3, 11
1.195, 80.3, 12
1.160, 83.3, 22
1.122, 86.8, 12

Structural model:
Cell: 3.835 3.835 3.995 Å, 90.00 90.00 90.00°
Sites, in units of the cell vectors:
Li (0.000, 0.000, 0.000)
Cr (0.000, 0.500, 0.500)
Cr (0.500, 0.000, 0.500)
Pd (0.500, 0.500, 0.000)
N (0.000, 0.000, 0.500)


Record 9
This entry pairs a crystal structure of Rb12Tl with its theoretical powder X-ray diffraction pattern. Radiation: a wavelength of 1.5418 Å. Structure: the GGA-PBE geometry in Alexandria.
Intensities are scaled so that the largest is 100.

Main lines, sorted by position (2θ = 10–90°):
d/Å, 2θ/deg, I (rel.)
4.057, 21.9, 100
3.703, 24.0, 41
3.429, 26.0, 99
2.619, 34.2, 17
2.516, 35.7, 15
2.200, 41.0, 44
2.138, 42.3, 18
2.081, 43.5, 44
1.892, 48.1, 18
1.814, 50.3, 24
1.533, 60.4, 17
1.512, 61.3, 17

Structural model:
Cell: 11.110 11.110 11.110 Å, 109.47 109.47 109.47°
Sites, in units of the cell vectors:
Rb (0.129, 0.302, 0.827)
Rb (0.173, 0.476, 0.302)
Rb (0.173, 0.871, 0.698)
Rb (0.302, 0.173, 0.476)
Rb (0.302, 0.827, 0.129)
Rb (0.476, 0.302, 0.173)
Rb (0.524, 0.698, 0.827)
Rb (0.698, 0.173, 0.871)
Rb (0.698, 0.827, 0.524)
Rb (0.827, 0.129, 0.302)
Rb (0.827, 0.524, 0.698)
Rb (0.871, 0.698, 0.173)
Tl (0.000, 0.000, 0.000)


Record 10
This entry pairs a crystal structure of TmAsS3 with its theoretical powder X-ray diffraction pattern. Radiation: a wavelength of 1.5418 Å. Structure: the GGA-PBE geometry in Alexandria.
Intensities are scaled so that the largest is 100.

Main lines, sorted by position (2θ = 10–90°):
d/Å, 2θ/deg, I (rel.)
8.071, 11.0, 18
6.912, 12.8, 100
5.675, 15.6, 51
4.181, 21.3, 25
3.428, 26.0, 27
3.012, 29.7, 44
2.943, 30.4, 19
2.761, 32.4, 61
2.416, 37.2, 24
2.233, 40.4, 26
1.893, 48.1, 25
1.751, 52.2, 20

Structural model:
Cell: 9.942 3.786 13.824 Å, 90.00 90.00 90.00°
Sites, in units of the cell vectors:
Tm (0.152, 0.250, 0.037)
Tm (0.348, 0.750, 0.537)
Tm (0.652, 0.250, 0.463)
Tm (0.848, 0.750, 0.963)
As (0.052, 0.250, 0.624)
As (0.448, 0.750, 0.124)
As (0.552, 0.250, 0.876)
As (0.948, 0.750, 0.376)
S (0.009, 0.750, 0.115)
S (0.156, 0.250, 0.476)
S (0.173, 0.750, 0.693)
S (0.327, 0.250, 0.193)
S (0.344, 0.750, 0.976)
S (0.491, 0.250, 0.615)
S (0.509, 0.750, 0.385)
S (0.656, 0.250, 0.024)
S (0.673, 0.750, 0.807)
S (0.827, 0.250, 0.307)
S (0.844, 0.750, 0.524)
S (0.991, 0.250, 0.885)


Record 11
This entry pairs a crystal structure of La14CdHg with its theoretical powder X-ray diffraction pattern. Radiation: a wavelength of 1.5418 Å. Structure: the GGA-PBE geometry in Alexandria.
Intensities are scaled so that the largest is 100.

Main lines, sorted by position (2θ = 10–90°):
d/Å, 2θ/deg, I (rel.)
2.977, 30.0, 100
2.617, 34.3, 17
2.560, 35.1, 33
1.830, 49.8, 24
1.810, 50.4, 12
1.572, 58.8, 14
1.547, 59.8, 28
1.489, 62.4, 12
1.187, 81.0, 11
1.176, 81.9, 6
1.165, 82.9, 5
1.150, 84.2, 5

Structural model:
Cell: 7.241 7.241 10.467 Å, 90.00 90.00 90.00°
Sites, in units of the cell vectors:
La (0.000, 0.000, 0.000)
La (0.000, 0.500, 0.000)
La (0.000, 0.500, 0.500)
La (0.249, 0.249, 0.256)
La (0.249, 0.249, 0.744)
La (0.249, 0.751, 0.256)
La (0.249, 0.751, 0.744)
La (0.500, 0.000, 0.000)
La (0.500, 0.000, 0.500)
La (0.500, 0.500, 0.000)
La (0.751, 0.249, 0.256)
La (0.751, 0.249, 0.744)
La (0.751, 0.751, 0.256)
La (0.751, 0.751, 0.744)
Cd (0.500, 0.500, 0.500)
Hg (0.000, 0.000, 0.500)


Record 12
This entry pairs a crystal structure of Li4LaSb2 with its theoretical powder X-ray diffraction pattern. Radiation: a wavelength of 1.5418 Å. Structure: the GGA-PBE geometry in Alexandria.
Intensities are scaled so that the largest is 100.

Main lines, sorted by position (2θ = 10–90°):
d/Å, 2θ/deg, I (rel.)
5.878, 15.1, 66
3.718, 23.9, 25
3.589, 24.8, 100
2.939, 30.4, 66
2.874, 31.1, 87
2.364, 38.1, 55
2.274, 39.6, 43
2.266, 39.8, 24
2.016, 45.0, 17
1.794, 50.9, 31
1.561, 59.2, 21
1.462, 63.7, 39

Structural model:
Cell: 8.313 8.313 4.531 Å, 90.00 90.00 90.00°
Sites, in units of the cell vectors:
Li (0.097, 0.337, 0.000)
Li (0.163, 0.597, 0.500)
Li (0.337, 0.097, 0.000)
Li (0.403, 0.837, 0.500)
Li (0.597, 0.163, 0.500)
Li (0.663, 0.903, 0.000)
Li (0.837, 0.403, 0.500)
Li (0.903, 0.663, 0.000)
La (0.000, 0.000, 0.500)
La (0.500, 0.500, 0.000)
Sb (0.213, 0.787, 0.000)
Sb (0.287, 0.287, 0.500)
Sb (0.713, 0.713, 0.500)
Sb (0.787, 0.213, 0.000)